# Li2PmVN4
Simulated PXRD pattern, Cu Ka. Input: DFT lattice parameters and positions (PBE).
Intensities are scaled so that the largest is 100.

Lattice parameters (Å, degrees): 5.3535 5.3535 6.6927 90.00 90.00 90.00
Space group I-42m (No. 121)
Inequivalent atoms, fractional coordinates:
1 Li 0.0000 0.5000 0.2500
2 Pm 0.0000 0.0000 0.0000
3 V 0.0000 0.0000 0.5000
4 N 0.2000 0.2000 0.3515

Peak list (10 most intense, 10 to 80 degrees two-theta, by angle)
2θ/deg  I (rel.)
21.3  47
23.5  100
26.6  28
33.5  29
35.8  80
40.0  31
43.3  41
48.1  22
54.2  16
61.4  32